The following is a calculated X-ray powder pattern of CaMnV4Cu2O12. It was derived from a structure optimized by DFT (GGA+U), using Cu Ka.
Peak positions follow from Bragg's law for the DFT cell and can differ from measured ones.

Crystal structure
a = 7.338 Å, b = 7.473 Å, c = 7.489 Å
α = 90.00°, β = 90.00°, γ = 90.00°
Space group Immm (No. 71)
One atom of each set of equivalent atoms:
Ca 0.000 0.000 0.000
Mn 0.000 0.000 0.500
V 0.250 0.250 0.250
Cu 0.000 0.500 0.000
Cu 0.000 0.500 0.500
O 0.000 0.295 0.178
O 0.179 0.000 0.304
O 0.192 0.316 0.500

The 12 most intense peaks (2θ from 10° to 90°), by angle:
2θ (°)  d/Å  Rel. int.  h k l
33.89  2.645  51  0 2 2
34.23  2.619  100  2 0 2
42.11  2.146  7  2 2 2
48.63  1.872  15  0 0 4
48.74  1.868  16  0 4 0
49.70  1.835  14  4 0 0
60.86  1.522  50  2 2 4
61.51  1.507  25  4 2 2
71.31  1.322  7  0 4 4
72.12  1.310  13  4 4 0
81.44  1.182  9  0 6 2
83.08  1.163  7  6 2 0